Starting from a DFT-relaxed cell (GGA-PBE, Alexandria), the powder X-ray diffraction pattern of La6PmY2Er was computed for CuKα.
Intensities are scaled so that the largest is 100.

Cell and atoms:
```
La6PmY2Er
1.0
5.7363 -3.5356 0.0000
5.7363 3.5356 0.0000
-2.3328 0.0000 8.8172
La Pm Y Er
6 1 2 1
direct
0.0920 0.5358 0.1933
0.1339 0.1339 0.4285
0.4642 0.9080 0.8067
0.5358 0.0920 0.1933
0.8661 0.8661 0.5715
0.9080 0.4642 0.8067
0.5000 0.5000 0.5000
0.4166 0.4166 0.8331
0.5834 0.5834 0.1669
0.0000 0.0000 0.0000
```

Principal peaks in the range 10° ≤ 2θ ≤ 80°, sorted by position:
two_theta	Rel. int.
26.8	61
28.9	53
30.0	100
30.3	84
30.4	31
30.6	32
31.2	91
32.0	42
32.5	64
55.2	60

Starting from a DFT-relaxed cell (GGA-PBE, Alexandria), the powder X-ray diffraction pattern of Te2AuI2 was computed for CuKα.
Intensities are scaled so that the largest is 100.

Cell and atoms:
```
Te2AuI2
1.0
3.0488 -8.0249 0.0000
3.0488 8.0249 0.0000
0.0000 0.0000 4.0945
Te Au I
2 1 2
direct
0.1118 0.8882 0.0000
0.8882 0.1118 0.0000
0.0000 0.0000 0.5000
0.3671 0.6329 0.0000
0.6329 0.3671 0.0000
```

Principal peaks in the range 10° ≤ 2θ ≤ 80°, sorted by position:
two_theta	Rel. int.
11.0	50
15.5	50
21.7	24
22.1	56
29.3	58
31.2	100
38.6	29
43.3	76
47.9	22
53.9	21

Starting from a DFT-relaxed cell (GGA-PBE, Alexandria), the powder X-ray diffraction pattern of Sr2Zn5Cu3 was computed for CuKα.
Intensities are scaled so that the largest is 100.

Cell and atoms:
```
Sr2Zn5Cu3
1.0
-5.0890 6.3264 3.0679
5.0890 -6.3264 3.0679
5.0890 6.3264 -3.0679
Sr Zn Cu
4 10 6
direct
0.1247 0.2344 0.3591
0.3753 0.7344 0.1097
0.6247 0.2656 0.8903
0.8753 0.7656 0.6409
0.0254 0.7500 0.2754
0.1306 0.8892 0.0198
0.2500 0.7500 0.5000
0.3694 0.3892 0.7585
0.4746 0.7500 0.7246
0.5254 0.2500 0.2754
0.6306 0.6108 0.2415
0.7500 0.2500 0.5000
0.8694 0.1108 0.9802
0.9746 0.2500 0.7246
0.1159 0.6422 0.7581
0.2500 0.2500 0.0000
0.3841 0.1422 0.5263
0.6159 0.8578 0.4737
0.7500 0.7500 0.0000
0.8841 0.3578 0.2419
```

Principal peaks in the range 10° ≤ 2θ ≤ 80°, sorted by position:
two_theta	Rel. int.
33.3	100
34.1	46
41.0	64
45.8	11
46.4	13
49.3	17
53.3	16
54.3	14
58.3	10
60.3	11

- Which formula does entry 3 have?
  Sr2Zn5Cu3